No. 1
Structure and calculated X-ray powder pattern of Ce2MnAlGe6 (DFT lattice parameters and positions (GGA-PBE); CuKα).

Crystal structure
a = 12.1461 Å, b = 12.1461 Å, c = 12.1461 Å
α = 29.92°, β = 29.92°, γ = 29.92°
Fractional coordinates of all 20 atoms:
Ce 0.1107 0.1107 0.1107
Ce 0.2907 0.2907 0.2907
Ce 0.7093 0.7093 0.7093
Ce 0.8893 0.8893 0.8893
Mn 0.0000 0.0000 0.0000
Mn 0.5000 0.5000 0.5000
Al 0.4285 0.4285 0.4285
Al 0.5715 0.5715 0.5715
Ge 0.0682 0.6669 0.6669
Ge 0.2232 0.2232 0.6725
Ge 0.2232 0.6725 0.2232
Ge 0.3275 0.7768 0.7768
Ge 0.3331 0.3331 0.9318
Ge 0.3331 0.9318 0.3331
Ge 0.6669 0.0682 0.6669
Ge 0.6669 0.6669 0.0682
Ge 0.6725 0.2232 0.2232
Ge 0.7768 0.3275 0.7768
Ge 0.7768 0.7768 0.3275
Ge 0.9318 0.3331 0.3331

Largest 10 diffraction maxima, by angle, 10 to 80 degrees two-theta:
2θ = 28.47°, I 37; 2θ = 30.52°, I 49; 2θ = 30.85°, I 46; 2θ = 33.40°, I 22; 2θ = 35.49°, I 100; 2θ = 37.76°, I 89; 2θ = 42.23°, I 29; 2θ = 46.11°, I 20; 2θ = 49.75°, I 18; 2θ = 58.92°, I 35

No. 2
Structure and calculated X-ray powder pattern of Sm3Si2Ni6 (DFT lattice parameters and positions (GGA-PBE); CuKα).

Crystal structure
a = 7.6931 Å, b = 7.6931 Å, c = 7.6931 Å
α = 109.47°, β = 109.47°, γ = 109.47°
Fractional coordinates of all 22 atoms:
Sm 0.0000 0.2863 0.2863
Sm 0.0000 0.7137 0.7137
Sm 0.2863 0.0000 0.2863
Sm 0.2863 0.2863 0.0000
Sm 0.7137 0.0000 0.7137
Sm 0.7137 0.7137 0.0000
Si 0.0000 0.0000 0.5000
Si 0.0000 0.5000 0.0000
Si 0.5000 0.0000 0.0000
Si 0.5000 0.5000 0.5000
Ni 0.0000 0.3296 0.6704
Ni 0.0000 0.6704 0.3296
Ni 0.3296 0.0000 0.6704
Ni 0.3296 0.3296 0.6591
Ni 0.3296 0.6591 0.3296
Ni 0.3296 0.6704 0.0000
Ni 0.3409 0.6704 0.6704
Ni 0.6591 0.3296 0.3296
Ni 0.6704 0.0000 0.3296
Ni 0.6704 0.3296 0.0000
Ni 0.6704 0.3409 0.6704
Ni 0.6704 0.6704 0.3409

Largest 10 diffraction maxima, by angle, 10 to 80 degrees two-theta:
2θ = 24.55°, I 17; 2θ = 28.42°, I 15; 2θ = 31.86°, I 39; 2θ = 34.99°, I 26; 2θ = 37.90°, I 31; 2θ = 40.62°, I 24; 2θ = 43.21°, I 100; 2θ = 64.68°, I 21; 2θ = 70.29°, I 17; 2θ = 79.25°, I 22

No. 3
Structure and calculated X-ray powder pattern of Cs2Na2Au (DFT lattice parameters and positions (GGA-PBE); CuKα).

Crystal structure
a = 12.2850 Å, b = 12.2850 Å, c = 12.2850 Å
α = 24.62°, β = 24.62°, γ = 24.62°
Fractional coordinates of all 5 atoms:
Cs 0.0713 0.0713 0.0713
Cs 0.9287 0.9287 0.9287
Na 0.1846 0.1846 0.1846
Na 0.8154 0.8154 0.8154
Au 0.5000 0.5000 0.5000

Largest 10 diffraction maxima, by angle, 10 to 80 degrees two-theta:
2θ = 20.20°, I 90; 2θ = 22.40°, I 33; 2θ = 23.23°, I 60; 2θ = 26.29°, I 100; 2θ = 34.24°, I 58; 2θ = 40.57°, I 25; 2θ = 41.30°, I 41; 2θ = 43.67°, I 25; 2θ = 46.17°, I 27; 2θ = 56.63°, I 24

No. 4
Structure and calculated X-ray powder pattern of TmMgTlF6 (DFT lattice parameters and positions (GGA-PBE); CuKα).

Crystal structure
a = 7.7814 Å, b = 7.7814 Å, c = 7.7814 Å
α = 121.77°, β = 117.61°, γ = 90.57°
Fractional coordinates of all 18 atoms:
Tm 0.0000 0.0000 0.0000
Tm 0.5000 0.0000 0.5000
Mg 0.5000 0.0000 0.0000
Mg 0.5000 0.5000 0.5000
Tl 0.2223 0.4723 0.7500
Tl 0.7777 0.5277 0.2500
F 0.1757 0.9257 0.2500
F 0.1955 0.3282 0.2870
F 0.1955 0.9084 0.8672
F 0.4530 0.7030 0.7500
F 0.4588 0.0916 0.7870
F 0.4588 0.6718 0.3672
F 0.5412 0.3282 0.6328
F 0.5412 0.9084 0.2130
F 0.5470 0.2970 0.2500
F 0.8045 0.0916 0.1328
F 0.8045 0.6718 0.7130
F 0.8243 0.0743 0.7500

Largest 10 diffraction maxima, by angle, 10 to 80 degrees two-theta:
2θ = 16.19°, I 66; 2θ = 23.50°, I 24; 2θ = 26.34°, I 100; 2θ = 28.67°, I 43; 2θ = 35.23°, I 36; 2θ = 40.67°, I 16; 2θ = 43.09°, I 23; 2θ = 48.09°, I 16; 2θ = 49.38°, I 21; 2θ = 54.22°, I 15

No. 5
Structure and calculated X-ray powder pattern of Tb2PaS2N2 (DFT lattice parameters and positions (GGA-PBE); CuKα).

Crystal structure
a = 7.9230 Å, b = 7.9230 Å, c = 7.9230 Å
α = 148.39°, β = 148.39°, γ = 45.31°
Fractional coordinates of all 7 atoms:
Tb 0.1288 0.1288 0.0000
Tb 0.8712 0.8712 0.0000
Pa 0.5000 0.5000 0.0000
S 0.3147 0.3147 0.0000
S 0.6853 0.6853 0.0000
N 0.0000 0.5000 0.5000
N 0.5000 0.0000 0.5000

Largest 10 diffraction maxima, by angle, 10 to 80 degrees two-theta:
2θ = 12.10°, I 38; 2θ = 27.61°, I 100; 2θ = 29.27°, I 91; 2θ = 37.13°, I 67; 2θ = 41.87°, I 41; 2θ = 50.89°, I 39; 2θ = 57.19°, I 38; 2θ = 58.89°, I 16; 2θ = 60.70°, I 14; 2θ = 68.79°, I 16

No. 6
Structure and calculated X-ray powder pattern of ErPdPb (DFT lattice parameters and positions (GGA-PBE); CuKα).

Crystal structure
a = 7.7862 Å, b = 7.7862 Å, c = 3.8849 Å
α = 90.00°, β = 90.00°, γ = 120.00°
Fractional coordinates of all 9 atoms:
Er 0.0000 0.5991 0.0000
Er 0.4009 0.4009 0.0000
Er 0.5991 0.0000 0.0000
Pd 0.0000 0.0000 0.0000
Pd 0.3333 0.6667 0.5000
Pd 0.6667 0.3333 0.5000
Pb 0.0000 0.2666 0.5000
Pb 0.2666 0.0000 0.5000
Pb 0.7334 0.7334 0.5000

Largest 10 diffraction maxima, by angle, 10 to 80 degrees two-theta:
2θ = 32.56°, I 95; 2θ = 35.23°, I 100; 2θ = 40.12°, I 35; 2θ = 42.42°, I 20; 2θ = 46.77°, I 19; 2θ = 54.44°, I 14; 2θ = 59.84°, I 30; 2θ = 63.27°, I 21; 2θ = 64.88°, I 29; 2θ = 74.48°, I 16